Calculated powder X-ray diffraction pattern of YHo4Tm for Cu Kα, 1.54184 Å, from the GGA-PBE geometry in Alexandria.

Most intense lines, 2θ from 10° to 90°, in order of falling intensity:
| 2θ/deg | Rel. int. |
| --- | --- |
| 32.42 | 100 |
| 33.46 | 79 |
| 31.53 | 71 |
| 33.15 | 63 |
| 32.88 | 32 |
| 28.20 | 30 |
| 32.51 | 30 |
| 57.62 | 23 |
| 12.45 | 23 |
| 59.94 | 22 |
| 32.67 | 19 |
| 59.16 | 18 |

a = 8.535 Å, b = 8.535 Å, c = 6.400 Å
α = 100.64°, β = 100.64°, γ = 118.56°
Fractional positions:
Y (0.085, 0.915, 0.750)
Y (0.915, 0.085, 0.250)
Ho (0.076, 0.332, 0.880)
Ho (0.211, 0.604, 0.462)
Ho (0.332, 0.076, 0.380)
Ho (0.396, 0.789, 0.038)
Ho (0.604, 0.211, 0.962)
Ho (0.668, 0.924, 0.620)
Ho (0.789, 0.396, 0.538)
Ho (0.924, 0.668, 0.120)
Tm (0.498, 0.502, 0.750)
Tm (0.502, 0.498, 0.250)